Entry 1:
Structure and simulated powder diffractogram of Tl3GaF6 (a GGA-PBE-relaxed structure; Cu Kα (λ = 1.5418 Å)).
Neutral-atom scattering factors, no anomalous dispersion.

Cell lengths 6.4751, 6.4751, 6.4751 Å; angles 60.00, 60.00, 60.00 degrees
Fractional positions:
Tl  0.0000  0.0000  0.0000
Tl  0.2500  0.2500  0.2500
Tl  0.7500  0.7500  0.7500
Ga  0.5000  0.5000  0.5000
F  0.2892  0.2892  0.7108
F  0.2892  0.7108  0.2892
F  0.2892  0.7108  0.7108
F  0.7108  0.2892  0.2892
F  0.7108  0.2892  0.7108
F  0.7108  0.7108  0.2892

Main lines, in order of rising 2θ (15 to 90 degrees two-theta):
| 2θ (°) | I_rel |
| --- | --- |
| 27.6 | 1000 |
| 32.4 | 57 |
| 39.4 | 284 |
| 48.7 | 414 |
| 56.9 | 183 |
| 64.3 | 208 |
| 71.4 | 59 |
| 78.1 | 231 |

Entry 2:
Structure and simulated powder diffractogram of Gd13Ge6O31F (a GGA-PBE-relaxed structure; Cu Kα (λ = 1.5418 Å)).
Neutral-atom scattering factors, no anomalous dispersion.

Cell lengths 9.8336, 9.8336, 9.8336 Å; angles 109.81, 109.81, 109.81 degrees
Fractional positions:
Gd  0.0000  0.0000  0.0000
Gd  0.0626  0.1534  0.7297
Gd  0.1534  0.7297  0.0626
Gd  0.1769  0.3286  0.4804
Gd  0.2794  0.9444  0.8504
Gd  0.3286  0.4804  0.1769
Gd  0.4804  0.1769  0.3286
Gd  0.5359  0.8198  0.6756
Gd  0.6756  0.5359  0.8198
Gd  0.7297  0.0626  0.1534
Gd  0.8198  0.6756  0.5359
Gd  0.8504  0.2794  0.9444
Gd  0.9444  0.8504  0.2794
Ge  0.0712  0.5583  0.3449
Ge  0.3449  0.0712  0.5583
Ge  0.4482  0.6630  0.9358
Ge  0.5583  0.3449  0.0712
Ge  0.6630  0.9358  0.4482
Ge  0.9358  0.4482  0.6630
O  0.0108  0.3128  0.5970
O  0.0274  0.9339  0.7622
O  0.0741  0.2498  0.9821
O  0.0738  0.6661  0.7548
O  0.1040  0.5547  0.1749
O  0.1749  0.1040  0.5547
O  0.2498  0.9821  0.0741
O  0.2529  0.9329  0.3387
O  0.2566  0.5896  0.5019
O  0.3128  0.5970  0.0108
O  0.3387  0.2529  0.9329
O  0.4073  0.4959  0.7533
O  0.4110  0.9958  0.6911
O  0.4491  0.8283  0.8984
O  0.4959  0.7533  0.4073
O  0.5019  0.2566  0.5896
O  0.5547  0.1749  0.1040
O  0.5896  0.5019  0.2566
O  0.5970  0.0108  0.3128
O  0.6661  0.7548  0.0738
O  0.6897  0.6897  0.6897
O  0.6911  0.4110  0.9958
O  0.7533  0.4073  0.4959
O  0.7548  0.0738  0.6661
O  0.7622  0.0274  0.9339
O  0.8283  0.8984  0.4491
O  0.8984  0.4491  0.8283
O  0.9329  0.3387  0.2529
O  0.9339  0.7622  0.0274
O  0.9821  0.0741  0.2498
O  0.9958  0.6911  0.4110
F  0.3024  0.3024  0.3024

Main lines, in order of rising 2θ (15 to 90 degrees two-theta):
| 2θ (°) | I_rel |
| --- | --- |
| 27.7 | 392 |
| 29.4 | 1000 |
| 33.6 | 454 |
| 40.8 | 123 |
| 47.1 | 258 |
| 49.4 | 149 |
| 55.5 | 119 |
| 57.5 | 167 |

Entry 3:
Structure and simulated powder diffractogram of K3GdF6 (a GGA-PBE-relaxed structure; Cu Kα (λ = 1.5418 Å)).
Neutral-atom scattering factors, no anomalous dispersion.

Cell lengths 6.4440, 6.6889, 11.1524 Å; angles 90.00, 124.25, 90.00 degrees
Fractional positions:
K  0.0000  0.0000  0.0000
K  0.0000  0.5000  0.5000
K  0.2244  0.0518  0.7418
K  0.2244  0.4482  0.2418
K  0.7756  0.5518  0.7582
K  0.7756  0.9482  0.2582
Gd  0.5000  0.0000  0.5000
Gd  0.5000  0.5000  0.0000
F  0.1670  0.1786  0.4490
F  0.1670  0.3214  0.9490
F  0.2505  0.7292  0.4220
F  0.2505  0.7708  0.9220
F  0.3967  0.0662  0.2755
F  0.3967  0.4338  0.7755
F  0.6033  0.5662  0.2245
F  0.6033  0.9338  0.7245
F  0.7495  0.2292  0.0780
F  0.7495  0.2708  0.5780
F  0.8330  0.6786  0.0510
F  0.8330  0.8214  0.5510

Main lines, in order of rising 2θ (15 to 90 degrees two-theta):
| 2θ (°) | I_rel |
| --- | --- |
| 16.4 | 994 |
| 16.9 | 450 |
| 19.1 | 739 |
| 26.7 | 439 |
| 27.1 | 1000 |
| 27.5 | 954 |
| 38.8 | 577 |
| 49.0 | 405 |

Entry 4:
Structure and simulated powder diffractogram of K2GdF5 (a GGA-PBE-relaxed structure; Cu Kα (λ = 1.5418 Å)).
Neutral-atom scattering factors, no anomalous dispersion.

Cell lengths 10.9778, 7.4554, 6.7141 Å; angles 90.00, 90.00, 90.00 degrees
Fractional positions:
K  0.1708  0.0052  0.0337
K  0.1708  0.4948  0.0337
K  0.3292  0.5052  0.5337
K  0.3292  0.9948  0.5337
K  0.6708  0.0052  0.4663
K  0.6708  0.4948  0.4663
K  0.8292  0.5052  0.9663
K  0.8292  0.9948  0.9663
Gd  0.0030  0.2500  0.5658
Gd  0.4970  0.7500  0.0658
Gd  0.5030  0.2500  0.9342
Gd  0.9970  0.7500  0.4342
F  0.0110  0.2500  0.9005
F  0.0764  0.5348  0.6491
F  0.0764  0.9652  0.6491
F  0.1696  0.2500  0.3708
F  0.1945  0.7500  0.3356
F  0.3055  0.2500  0.8356
F  0.3304  0.7500  0.8708
F  0.4236  0.0348  0.1491
F  0.4236  0.4652  0.1491
F  0.4890  0.7500  0.4005
F  0.5110  0.2500  0.5995
F  0.5764  0.5348  0.8509
F  0.5764  0.9652  0.8509
F  0.6696  0.2500  0.1292
F  0.6945  0.7500  0.1644
F  0.8055  0.2500  0.6644
F  0.8304  0.7500  0.6292
F  0.9236  0.0348  0.3509
F  0.9236  0.4652  0.3509
F  0.9890  0.7500  0.0995

Main lines, in order of rising 2θ (15 to 90 degrees two-theta):
| 2θ (°) | I_rel |
| --- | --- |
| 15.5 | 1000 |
| 16.1 | 521 |
| 27.8 | 636 |
| 28.6 | 810 |
| 29.0 | 485 |
| 39.7 | 376 |
| 40.8 | 291 |
| 50.1 | 295 |